This entry pairs a crystal structure of Fe12As5 with its simulated powder diffraction line list. Radiation: Cu Kα (λ = 1.5418 Å). Structure: a structure optimized by DFT (PBE).
Intensities are scaled so that the largest is 100.

Crystal structure
```
data_Fe12As5
_chemical_formula_sum 'Fe36 As15'
_cell_length_a 6.7423
_cell_length_b 6.7423
_cell_length_c 16.1645
_cell_angle_alpha 90.00
_cell_angle_beta 90.00
_cell_angle_gamma 120.00
_symmetry_space_group_name_H-M 'R 3 2'
_symmetry_Int_Tables_number 155
_symmetry_space_group_name_Hall 'R 3 2"'
loop_
_atom_site_label
_atom_site_fract_x
_atom_site_fract_y
_atom_site_fract_z
_atom_site_occupancy
Fe1 0.0000 0.0000 0.0000 1
Fe2 0.0000 0.0000 0.3825 1
Fe3 0.0000 0.7626 0.5000 1
Fe4 0.0236 0.2663 0.7521 1
As1 0.0000 0.0000 0.1437 1
As2 0.0000 0.6538 0.0000 1
```

Main lines, sorted by position (10 to 80 degrees two-theta):
(1 1 3), 31.30°, I 12; (0 2 4), 38.02°, I 28; (2 1 1), 41.29°, I 24; (2 0 5), 41.68°, I 13; (1 2 2), 42.46°, I 37; (1 1 6), 42.98°, I 100; (3 0 0), 46.67°, I 66; (2 1 4), 46.91°, I 37; (0 1 8), 47.62°, I 22; (0 2 7), 50.38°, I 11; (4 1 0), 74.46°, I 11; (4 1 3), 76.88°, I 11